# 1
This entry pairs a crystal structure of Li6Cd2Pt with its simulated PXRD pattern. Radiation: copper Kα. Structure: a crystal structure in Alexandria, relaxed with GGA-PBE.
Kinematic intensities with the Lorentz-polarization factor, no thermal factor.

Crystal structure
Lattice parameters (Å, degrees): 2.8366 7.6647 7.6769 116.09 93.59 93.51
Space group P-1 (No. 2)
Unique sites:
Li 0.0816 0.0029 0.3089 [2 per cell]
Li 0.0828 0.3098 0.0027 [2 per cell]
Li 0.1874 0.6774 0.6784 [2 per cell]
Cd 0.4992 0.6710 0.3310 [2 per cell]
Pt 0.5000 0.0000 0.0000 [1 per cell]

Main lines, in order of falling intensity (15° ≤ 2θ ≤ 90°):
| 2theta | Rel. int. | index |
| --- | --- | --- |
| 23.3 | 1000 | 0 2 -1 |
| 22.0 | 575 | 0 1 1 |
| 38.6 | 329 | 1 1 -2 |
| 40.8 | 242 | 1 2 -1 |
| 31.8 | 222 | 1 0 0 |
| 39.4 | 164 | 0 0 3 |
| 36.7 | 161 | -1 1 1 |
| 39.5 | 156 | 0 3 0 |

---

# 2
This entry pairs a crystal structure of BeCuAu3 with its simulated PXRD pattern. Radiation: copper Kα. Structure: a crystal structure in Alexandria, relaxed with GGA-PBE.
Kinematic intensities with the Lorentz-polarization factor, no thermal factor.

Crystal structure
Lattice parameters (Å, degrees): 9.7294 9.7294 3.1775 90.00 90.00 90.00
Space group P4_2/mnm (No. 136)
Unique sites:
Be 0.0884 0.0884 0.0000 [4 per cell]
Cu 0.2289 0.2289 0.5000 [4 per cell]
Au 0.0243 0.3249 0.0000 [8 per cell]
Au 0.1059 0.8941 0.5000 [4 per cell]

Main lines, in order of falling intensity (15° ≤ 2θ ≤ 90°):
| 2theta | Rel. int. | index |
| --- | --- | --- |
| 39.7 | 1000 | 3 0 1 |
| 35.0 | 626 | 2 1 1 |
| 40.8 | 502 | 3 1 1 |
| 33.2 | 496 | 3 2 0 |
| 68.5 | 359 | 5 4 1 |
| 39.3 | 347 | 3 3 0 |
| 47.7 | 327 | 5 1 0 |
| 41.5 | 246 | 4 2 0 |

---

# 3
This entry pairs a crystal structure of CeZrTiTl with its simulated PXRD pattern. Radiation: copper Kα. Structure: a crystal structure in Alexandria, relaxed with GGA-PBE.
Kinematic intensities with the Lorentz-polarization factor, no thermal factor.

Crystal structure
Lattice parameters (Å, degrees): 7.2414 7.2414 7.2414 90.00 90.00 90.00
Space group F-43m (No. 216)
Unique sites:
Ce 0.0000 0.0000 0.0000 [4 per cell]
Zr 0.0000 0.0000 0.5000 [4 per cell]
Ti 0.2500 0.2500 0.7500 [4 per cell]
Tl 0.2500 0.2500 0.2500 [4 per cell]

Main lines, in order of falling intensity (15° ≤ 2θ ≤ 90°):
| 2theta | Rel. int. | index |
| --- | --- | --- |
| 35.0 | 1000 | 2 2 0 |
| 62.9 | 361 | 4 2 2 |
| 21.3 | 247 | 1 1 1 |
| 50.4 | 177 | 4 0 0 |
| 84.6 | 158 | 6 2 0 |
| 41.4 | 142 | 3 1 1 |
| 74.1 | 111 | 4 4 0 |
| 55.3 | 64 | 3 3 1 |

---

# 4
This entry pairs a crystal structure of Rb4SbRhCl12 with its simulated PXRD pattern. Radiation: copper Kα. Structure: a crystal structure in Alexandria, relaxed with GGA-PBE.
Kinematic intensities with the Lorentz-polarization factor, no thermal factor.

Crystal structure
Lattice parameters (Å, degrees): 7.2087 7.2087 10.6149 90.00 90.00 90.00
Space group P4/mmm (No. 123)
Unique sites:
Rb 0.0000 0.5000 0.2148 [4 per cell]
Sb 0.0000 0.0000 0.5000 [1 per cell]
Rh 0.5000 0.5000 0.0000 [1 per cell]
Cl 0.0000 0.0000 0.2690 [2 per cell]
Cl 0.2384 0.2384 0.5000 [4 per cell]
Cl 0.2672 0.2672 0.0000 [4 per cell]
Cl 0.5000 0.5000 0.2240 [2 per cell]

Main lines, in order of falling intensity (15° ≤ 2θ ≤ 90°):
| 2theta | Rel. int. | index |
| --- | --- | --- |
| 35.2 | 1000 | 2 2 0 |
| 24.2 | 864 | 1 1 2 |
| 30.0 | 837 | 2 0 2 |
| 49.6 | 503 | 2 2 4 |
| 24.7 | 475 | 2 0 0 |
| 33.8 | 417 | 0 0 4 |
| 43.2 | 367 | 3 1 2 |
| 28.9 | 338 | 2 1 1 |

---

# 5
This entry pairs a crystal structure of Zr2Si7Ni3 with its simulated PXRD pattern. Radiation: copper Kα. Structure: a crystal structure in Alexandria, relaxed with GGA-PBE.
Kinematic intensities with the Lorentz-polarization factor, no thermal factor.

Crystal structure
Lattice parameters (Å, degrees): 3.9071 3.9071 23.2687 90.00 90.00 90.00
Space group I4mm (No. 107)
Unique sites:
Zr 0.0000 0.0000 0.0000 [2 per cell]
Zr 0.0000 0.0000 0.2918 [2 per cell]
Si 0.0000 0.0000 0.4372 [2 per cell]
Si 0.0000 0.0000 0.5359 [2 per cell]
Si 0.0000 0.0000 0.8376 [2 per cell]
Si 0.0000 0.5000 0.0938 [4 per cell]
Si 0.0000 0.5000 0.1955 [4 per cell]
Ni 0.0000 0.0000 0.7408 [2 per cell]
Ni 0.0000 0.5000 0.3904 [4 per cell]

Main lines, in order of falling intensity (15° ≤ 2θ ≤ 90°):
| 2theta | Rel. int. | index |
| --- | --- | --- |
| 36.0 | 1000 | 1 1 4 |
| 46.5 | 541 | 2 0 0 |
| 35.5 | 472 | 1 0 7 |
| 40.1 | 296 | 1 1 6 |
| 59.8 | 197 | 2 1 7 |
| 25.5 | 196 | 1 0 3 |
| 79.3 | 181 | 3 1 4 |
| 67.8 | 167 | 2 2 0 |

---

# 6
This entry pairs a crystal structure of Tl9SbTe6 with its simulated PXRD pattern. Radiation: copper Kα. Structure: a crystal structure in Alexandria, relaxed with GGA-PBE.
Kinematic intensities with the Lorentz-polarization factor, no thermal factor.

Crystal structure
Lattice parameters (Å, degrees): 8.9436 8.9436 13.6195 90.00 90.00 90.00
Space group I4 (No. 79)
Unique sites:
Tl 0.0000 0.0000 0.0000 [2 per cell]
Tl 0.1408 0.6545 0.3358 [8 per cell]
Tl 0.1429 0.3520 0.1488 [8 per cell]
Sb 0.0000 0.0000 0.5054 [2 per cell]
Te 0.0000 0.0000 0.2479 [2 per cell]
Te 0.0000 0.0000 0.7207 [2 per cell]
Te 0.1498 0.3218 0.4929 [8 per cell]

Main lines, in order of falling intensity (15° ≤ 2θ ≤ 90°):
| 2theta | Rel. int. | index |
| --- | --- | --- |
| 29.8 | 1000 | 2 1 3 |
| 31.6 | 441 | 1 3 0 |
| 59.2 | 179 | 5 2 3 |
| 51.6 | 109 | 1 3 6 |
| 46.4 | 98 | 1 4 3 |
| 39.7 | 89 | 0 0 6 |
| 66.0 | 73 | 1 2 9 |
| 23.2 | 73 | 1 2 1 |

---

# 7
This entry pairs a crystal structure of Sm3C2 with its simulated PXRD pattern. Radiation: copper Kα. Structure: a crystal structure in Alexandria, relaxed with GGA-PBE.
Kinematic intensities with the Lorentz-polarization factor, no thermal factor.

Crystal structure
Lattice parameters (Å, degrees): 6.3814 6.3814 18.1256 90.00 90.00 120.00
Space group R-3c (No. 167, hexagonal axes)
Unique sites:
Sm 0.0000 0.3116 0.2500 [18 per cell]
C 0.0000 0.0000 0.1560 [12 per cell]

Main lines, in order of falling intensity (15° ≤ 2θ ≤ 90°):
| 2theta | Rel. int. | index |
| --- | --- | --- |
| 31.7 | 1000 | 1 1 3 |
| 29.6 | 251 | 0 0 6 |
| 53.8 | 225 | 1 1 9 |
| 58.7 | 199 | 3 0 6 |
| 49.5 | 194 | 3 0 0 |
| 41.1 | 191 | 1 1 6 |
| 28.0 | 184 | 1 1 0 |
| 60.0 | 143 | 2 2 3 |

---

# 8
This entry pairs a crystal structure of Sm3AgHg5 with its simulated PXRD pattern. Radiation: copper Kα. Structure: a crystal structure in Alexandria, relaxed with GGA-PBE.
Kinematic intensities with the Lorentz-polarization factor, no thermal factor.

Crystal structure
Lattice parameters (Å, degrees): 9.0786 9.0786 6.3580 90.00 90.00 120.00
Space group P6_3/mcm (No. 193)
Unique sites:
Sm 0.0000 0.3541 0.2500 [6 per cell]
Ag 0.0000 0.0000 0.0000 [2 per cell]
Hg 0.0000 0.3061 0.7500 [6 per cell]
Hg 0.3333 0.6667 0.0000 [4 per cell]

Main lines, in order of falling intensity (15° ≤ 2θ ≤ 90°):
| 2theta | Rel. int. | index |
| --- | --- | --- |
| 34.2 | 1000 | 3 0 0 |
| 34.4 | 932 | 1 1 2 |
| 49.3 | 320 | 2 2 2 |
| 61.4 | 303 | 4 1 2 |
| 69.1 | 264 | 3 0 4 |
| 61.3 | 154 | 3 3 0 |
| 82.4 | 124 | 5 2 2 |
| 89.4 | 117 | 3 3 4 |

---

# 9
This entry pairs a crystal structure of PuSbO6 with its simulated PXRD pattern. Radiation: copper Kα. Structure: a crystal structure in Alexandria, relaxed with GGA-PBE.
Kinematic intensities with the Lorentz-polarization factor, no thermal factor.

Crystal structure
Lattice parameters (Å, degrees): 5.4347 5.4347 13.8547 90.00 90.00 120.00
Space group R-3 (No. 148, hexagonal axes)
Unique sites:
Pu 0.0000 0.0000 0.0000 [3 per cell]
Sb 0.0000 0.0000 0.5000 [3 per cell]
O 0.0010 0.5895 0.2499 [18 per cell]

Main lines, in order of falling intensity (15° ≤ 2θ ≤ 90°):
| 2theta | Rel. int. | index |
| --- | --- | --- |
| 22.8 | 1000 | 0 1 2 |
| 32.1 | 324 | 1 0 4 |
| 33.0 | 268 | 1 1 0 |
| 52.0 | 236 | 1 1 6 |
| 53.2 | 191 | 1 2 2 |
| 46.7 | 179 | 0 2 4 |
| 40.5 | 138 | 2 0 2 |
| 58.3 | 132 | 2 1 4 |

---

# 10
This entry pairs a crystal structure of DyY10Tm2 with its simulated PXRD pattern. Radiation: copper Kα. Structure: a crystal structure in Alexandria, relaxed with GGA-PBE.
Kinematic intensities with the Lorentz-polarization factor, no thermal factor.

Crystal structure
Lattice parameters (Å, degrees): 6.5382 15.4967 17.3178 90.00 90.00 90.00
Space group Fmmm (No. 69)
Unique sites:
Dy 0.0000 0.0000 0.0000 [4 per cell]
Y 0.0000 0.1039 0.3994 [16 per cell]
Y 0.0000 0.1813 0.1671 [16 per cell]
Y 0.2500 0.0000 0.2500 [8 per cell]
Tm 0.2500 0.2500 0.0000 [8 per cell]

Main lines, in order of falling intensity (15° ≤ 2θ ≤ 90°):
| 2theta | Rel. int. | index |
| --- | --- | --- |
| 31.4 | 1000 | 2 2 2 |
| 31.0 | 764 | 0 4 4 |
| 29.7 | 498 | 1 1 5 |
| 32.4 | 492 | 1 5 1 |
| 26.9 | 482 | 1 3 3 |
| 55.4 | 435 | 2 6 6 |
| 34.4 | 400 | 2 0 4 |
| 36.3 | 298 | 0 6 2 |

---

# 11
This entry pairs a crystal structure of Cs3Ge4Au9 with its simulated PXRD pattern. Radiation: copper Kα. Structure: a crystal structure in Alexandria, relaxed with GGA-PBE.
Kinematic intensities with the Lorentz-polarization factor, no thermal factor.

Crystal structure
Lattice parameters (Å, degrees): 7.2671 7.2671 29.2575 90.00 90.00 120.00
Space group R3m (No. 160, hexagonal axes)
Unique sites:
Cs 0.0000 0.0000 0.0000 [3 per cell]
Cs 0.0000 0.0000 0.1350 [3 per cell]
Cs 0.0000 0.0000 0.5679 [3 per cell]
Ge 0.0000 0.0000 0.2835 [3 per cell]
Ge 0.0000 0.0000 0.4375 [3 per cell]
Ge 0.0000 0.0000 0.6983 [3 per cell]
Ge 0.0000 0.0000 0.8524 [3 per cell]
Au 0.0639 0.5319 0.0207 [9 per cell]
Au 0.1671 0.3342 0.9010 [9 per cell]
Au 0.1986 0.3972 0.4484 [9 per cell]

Main lines, in order of falling intensity (15° ≤ 2θ ≤ 90°):
| 2theta | Rel. int. | index |
| --- | --- | --- |
| 29.0 | 1000 | 2 0 2 |
| 35.7 | 706 | 0 2 7 |
| 27.4 | 573 | 0 0 9 |
| 15.3 | 553 | 0 1 2 |
| 30.9 | 374 | 0 2 4 |
| 44.6 | 371 | 2 0 11 |
| 50.2 | 349 | 2 2 0 |
| 58.2 | 251 | 2 2 9 |

---

# 12
This entry pairs a crystal structure of Nd3Zn2Hg3 with its simulated PXRD pattern. Radiation: copper Kα. Structure: a crystal structure in Alexandria, relaxed with GGA-PBE.
Kinematic intensities with the Lorentz-polarization factor, no thermal factor.

Crystal structure
Lattice parameters (Å, degrees): 4.6727 11.1027 15.6573 90.00 90.00 90.00
Space group Cmcm (No. 63)
Unique sites:
Nd 0.0000 0.0945 0.1036 [8 per cell]
Nd 0.0000 0.3747 0.2500 [4 per cell]
Zn 0.0000 0.2035 0.6035 [8 per cell]
Hg 0.0000 0.3431 0.7500 [4 per cell]
Hg 0.0000 0.3824 0.0439 [8 per cell]

Main lines, in order of falling intensity (15° ≤ 2θ ≤ 90°):
| 2theta | Rel. int. | index |
| --- | --- | --- |
| 30.9 | 1000 | 1 1 4 |
| 38.6 | 874 | 2 0 0 |
| 35.4 | 519 | 1 3 3 |
| 32.3 | 371 | 0 4 0 |
| 31.4 | 334 | 1 3 1 |
| 26.8 | 278 | 1 1 3 |
| 51.1 | 274 | 2 4 0 |
| 34.4 | 226 | 0 0 6 |

---

# 13
This entry pairs a crystal structure of Gd3Al with its simulated PXRD pattern. Radiation: copper Kα. Structure: a crystal structure in Alexandria, relaxed with GGA-PBE.
Kinematic intensities with the Lorentz-polarization factor, no thermal factor.

Crystal structure
Lattice parameters (Å, degrees): 4.7540 4.7540 9.7519 90.00 90.00 90.00
Space group I4/mmm (No. 139)
Unique sites:
Gd 0.0000 0.0000 0.0000 [2 per cell]
Gd 0.0000 0.5000 0.2500 [4 per cell]
Al 0.0000 0.0000 0.5000 [2 per cell]

Main lines, in order of falling intensity (15° ≤ 2θ ≤ 90°):
| 2theta | Rel. int. | index |
| --- | --- | --- |
| 32.3 | 1000 | 1 1 2 |
| 37.8 | 327 | 2 0 0 |
| 64.9 | 288 | 3 1 2 |
| 53.9 | 236 | 2 0 4 |
| 20.8 | 199 | 1 0 1 |
| 36.9 | 176 | 0 0 4 |
| 63.6 | 143 | 1 1 6 |
| 88.6 | 120 | 3 1 6 |